No. 1
Computed X-ray powder pattern
Compound: Mg13Nb2H32
Radiation: a wavelength of 1.5418 Å
Structure: a crystal structure in the Materials Project, relaxed with PBE
Peak positions follow from Bragg's law for the DFT cell and can differ from measured ones.

Top 10 peaks for 2θ = 15–90°, by angle:
- 2θ 16.2, I = 59
- 2θ 18.7, I = 14
- 2θ 26.6, I = 12
- 2θ 31.3, I = 23
- 2θ 32.7, I = 100
- 2θ 37.9, I = 28
- 2θ 38.1, I = 14
- 2θ 41.5, I = 15
- 2θ 54.8, I = 24
- 2θ 65.2, I = 25

Cell and atoms:
```
data_Mg13Nb2H32
_chemical_formula_sum 'Mg13 Nb2 H32'
_symmetry_space_group_name_H-M 'P 1'
_symmetry_Int_Tables_number 1
_cell_length_a 6.7145
_cell_length_b 6.7145
_cell_length_c 9.4508
_cell_angle_alpha 90.00
_cell_angle_beta 90.00
_cell_angle_gamma 90.00
loop_
_symmetry_equiv_pos_as_xyz
'x,y,z'
loop_
_atom_site_label
_atom_site_type_symbol
_atom_site_fract_x
_atom_site_fract_y
_atom_site_fract_z
_atom_site_occupancy
Mg1 Mg 0.0000 0.0000 0.0000 1
Mg2 Mg 0.0000 0.5000 0.0000 1
Mg3 Mg 0.0000 0.5000 0.5000 1
Mg4 Mg 0.2554 0.2554 0.2563 1
Mg5 Mg 0.2554 0.2554 0.7437 1
Mg6 Mg 0.2554 0.7446 0.2563 1
Mg7 Mg 0.2554 0.7446 0.7437 1
Mg8 Mg 0.5000 0.0000 0.0000 1
Mg9 Mg 0.5000 0.0000 0.5000 1
Mg10 Mg 0.7446 0.2554 0.2563 1
Mg11 Mg 0.7446 0.2554 0.7437 1
Mg12 Mg 0.7446 0.7446 0.2563 1
Mg13 Mg 0.7446 0.7446 0.7437 1
Nb1 Nb 0.0000 0.0000 0.5000 1
Nb2 Nb 0.5000 0.5000 0.0000 1
H1 H 0.0000 0.2331 0.3812 1
H2 H 0.0000 0.2331 0.6188 1
H3 H 0.0000 0.2575 0.1304 1
H4 H 0.0000 0.2575 0.8696 1
H5 H 0.0000 0.7425 0.1304 1
H6 H 0.0000 0.7425 0.8696 1
H7 H 0.0000 0.7669 0.3812 1
H8 H 0.0000 0.7669 0.6188 1
H9 H 0.2203 0.5000 0.3630 1
H10 H 0.2203 0.5000 0.6370 1
H11 H 0.2331 0.0000 0.3812 1
H12 H 0.2331 0.0000 0.6188 1
H13 H 0.2575 0.0000 0.1304 1
H14 H 0.2575 0.0000 0.8696 1
H15 H 0.2621 0.5000 0.1173 1
H16 H 0.2621 0.5000 0.8827 1
H17 H 0.5000 0.2203 0.3630 1
H18 H 0.5000 0.2203 0.6370 1
H19 H 0.5000 0.2621 0.1173 1
H20 H 0.5000 0.2621 0.8827 1
H21 H 0.5000 0.7379 0.1173 1
H22 H 0.5000 0.7379 0.8827 1
H23 H 0.5000 0.7797 0.3630 1
H24 H 0.5000 0.7797 0.6370 1
H25 H 0.7379 0.5000 0.1173 1
H26 H 0.7379 0.5000 0.8827 1
H27 H 0.7425 0.0000 0.1304 1
H28 H 0.7425 0.0000 0.8696 1
H29 H 0.7669 0.0000 0.3812 1
H30 H 0.7669 0.0000 0.6188 1
H31 H 0.7797 0.5000 0.3630 1
H32 H 0.7797 0.5000 0.6370 1
```



No. 2
Computed X-ray powder pattern
Compound: NdMgNi4H7
Radiation: a wavelength of 1.5418 Å
Structure: a crystal structure in the Materials Project, relaxed with PBE
Peak positions follow from Bragg's law for the DFT cell and can differ from measured ones.

Top 10 peaks for 2θ = 15–90°, by angle:
- 2θ 20.1, I = 17
- 2θ 23.2, I = 21
- 2θ 33.1, I = 32
- 2θ 39.0, I = 100
- 2θ 40.8, I = 36
- 2θ 59.1, I = 12
- 2θ 63.1, I = 31
- 2θ 69.4, I = 23
- 2θ 82.6, I = 11
- 2θ 83.8, I = 12

Cell and atoms:
```
data_NdMgNi4H7
_chemical_formula_sum 'Nd1 Mg1 Ni4 H7'
_symmetry_space_group_name_H-M 'P 1'
_symmetry_Int_Tables_number 1
_cell_length_a 5.4146
_cell_length_b 5.4146
_cell_length_c 5.4146
_cell_angle_alpha 60.00
_cell_angle_beta 60.00
_cell_angle_gamma 60.00
loop_
_symmetry_equiv_pos_as_xyz
'x,y,z'
loop_
_atom_site_label
_atom_site_type_symbol
_atom_site_fract_x
_atom_site_fract_y
_atom_site_fract_z
_atom_site_occupancy
Nd1 Nd 0.0000 0.0000 0.0000 1
Mg1 Mg 0.7500 0.7500 0.7500 1
Ni1 Ni 0.3767 0.3767 0.3767 1
Ni2 Ni 0.3767 0.3767 0.8699 1
Ni3 Ni 0.3767 0.8699 0.3767 1
Ni4 Ni 0.8699 0.3767 0.3767 1
H1 H 0.0080 0.0080 0.4920 1
H2 H 0.0080 0.4920 0.0080 1
H3 H 0.0080 0.4920 0.4920 1
H4 H 0.4920 0.0080 0.0080 1
H5 H 0.4920 0.0080 0.4920 1
H6 H 0.4920 0.4920 0.0080 1
H7 H 0.5000 0.5000 0.5000 1
```



No. 3
Computed X-ray powder pattern
Compound: NdMgNi4H4
Radiation: a wavelength of 1.5418 Å
Structure: a crystal structure in the Materials Project, relaxed with PBE
Peak positions follow from Bragg's law for the DFT cell and can differ from measured ones.

Top 10 peaks for 2θ = 15–90°, by angle:
- 2θ 24.0, I = 41
- 2θ 24.3, I = 22
- 2θ 34.4, I = 45
- 2θ 39.4, I = 63
- 2θ 40.4, I = 42
- 2θ 41.0, I = 30
- 2θ 41.2, I = 100
- 2θ 43.5, I = 42
- 2θ 66.4, I = 24
- 2θ 72.5, I = 25

Cell and atoms:
```
data_NdMgNi4H4
_chemical_formula_sum 'Nd2 Mg2 Ni8 H8'
_symmetry_space_group_name_H-M 'P 1'
_symmetry_Int_Tables_number 1
_cell_length_a 5.0516
_cell_length_b 5.4700
_cell_length_c 7.3292
_cell_angle_alpha 90.00
_cell_angle_beta 90.00
_cell_angle_gamma 90.00
loop_
_symmetry_equiv_pos_as_xyz
'x,y,z'
loop_
_atom_site_label
_atom_site_type_symbol
_atom_site_fract_x
_atom_site_fract_y
_atom_site_fract_z
_atom_site_occupancy
Nd1 Nd 0.0000 0.2017 0.0000 1
Nd2 Nd 0.5000 0.7983 0.5000 1
Mg1 Mg 0.0000 0.6817 0.2218 1
Mg2 Mg 0.5000 0.3183 0.7218 1
Ni1 Ni 0.0000 0.0509 0.6204 1
Ni2 Ni 0.0000 0.5070 0.6025 1
Ni3 Ni 0.2440 0.2713 0.3775 1
Ni4 Ni 0.2560 0.7287 0.8775 1
Ni5 Ni 0.5000 0.4930 0.1025 1
Ni6 Ni 0.5000 0.9491 0.1204 1
Ni7 Ni 0.7440 0.7287 0.8775 1
Ni8 Ni 0.7560 0.2713 0.3775 1
H1 H 0.0000 0.5617 0.8226 1
H2 H 0.0000 0.7787 0.5099 1
H3 H 0.2484 0.0097 0.2562 1
H4 H 0.2516 0.9903 0.7562 1
H5 H 0.5000 0.2213 0.0099 1
H6 H 0.5000 0.4383 0.3226 1
H7 H 0.7484 0.9903 0.7562 1
H8 H 0.7516 0.0097 0.2562 1
```



No. 4
Computed X-ray powder pattern
Compound: MgNiH
Radiation: a wavelength of 1.5418 Å
Structure: a crystal structure in the Materials Project, relaxed with PBE
Peak positions follow from Bragg's law for the DFT cell and can differ from measured ones.

Top 10 peaks for 2θ = 15–90°, by angle:
- 2θ 27.4, I = 13
- 2θ 28.9, I = 26
- 2θ 40.2, I = 100
- 2θ 41.3, I = 49
- 2θ 50.3, I = 9
- 2θ 56.5, I = 9
- 2θ 59.9, I = 15
- 2θ 72.4, I = 16
- 2θ 74.6, I = 29
- 2θ 86.9, I = 10

Cell and atoms:
```
data_MgNiH
_chemical_formula_sum 'Mg1 Ni1 H1'
_symmetry_space_group_name_H-M 'P 1'
_symmetry_Int_Tables_number 1
_cell_length_a 3.0881
_cell_length_b 3.0881
_cell_length_c 3.2570
_cell_angle_alpha 90.00
_cell_angle_beta 90.00
_cell_angle_gamma 90.00
loop_
_symmetry_equiv_pos_as_xyz
'x,y,z'
loop_
_atom_site_label
_atom_site_type_symbol
_atom_site_fract_x
_atom_site_fract_y
_atom_site_fract_z
_atom_site_occupancy
Mg1 Mg 0.0000 0.0000 0.0000 1
Ni1 Ni 0.5000 0.5000 0.5000 1
H1 H 0.5000 0.5000 0.0000 1
```



No. 5
Computed X-ray powder pattern
Compound: MgNiH3
Radiation: a wavelength of 1.5418 Å
Structure: a crystal structure in the Materials Project, relaxed with PBE
Peak positions follow from Bragg's law for the DFT cell and can differ from measured ones.

Top 8 peaks for 2θ = 15–90°, by angle:
- 2θ 26.8, I = 28
- 2θ 38.2, I = 100
- 2θ 47.3, I = 6
- 2θ 55.2, I = 18
- 2θ 62.4, I = 9
- 2θ 69.1, I = 32
- 2θ 81.9, I = 10
- 2θ 88.0, I = 4

Cell and atoms:
```
data_MgNiH3
_chemical_formula_sum 'Mg1 Ni1 H3'
_symmetry_space_group_name_H-M 'P 1'
_symmetry_Int_Tables_number 1
_cell_length_a 3.3286
_cell_length_b 3.3286
_cell_length_c 3.3286
_cell_angle_alpha 90.00
_cell_angle_beta 90.00
_cell_angle_gamma 90.00
loop_
_symmetry_equiv_pos_as_xyz
'x,y,z'
loop_
_atom_site_label
_atom_site_type_symbol
_atom_site_fract_x
_atom_site_fract_y
_atom_site_fract_z
_atom_site_occupancy
Mg1 Mg 0.0000 0.0000 0.0000 1
Ni1 Ni 0.5000 0.5000 0.5000 1
H1 H 0.0000 0.5000 0.5000 1
H2 H 0.5000 0.0000 0.5000 1
H3 H 0.5000 0.5000 0.0000 1
```



No. 6
Computed X-ray powder pattern
Compound: SrMgNiH4
Radiation: a wavelength of 1.5418 Å
Structure: a crystal structure in the Materials Project, relaxed with PBE
Peak positions follow from Bragg's law for the DFT cell and can differ from measured ones.

Top 10 peaks for 2θ = 15–90°, by angle:
- 2θ 22.3, I = 42
- 2θ 28.8, I = 100
- 2θ 31.7, I = 78
- 2θ 39.0, I = 25
- 2θ 41.3, I = 28
- 2θ 43.4, I = 23
- 2θ 49.3, I = 48
- 2θ 54.7, I = 27
- 2θ 69.2, I = 23
- 2θ 73.7, I = 17

Cell and atoms:
```
data_SrMgNiH4
_chemical_formula_sum 'Sr4 Mg4 Ni4 H16'
_symmetry_space_group_name_H-M 'P 1'
_symmetry_Int_Tables_number 1
_cell_length_a 6.9200
_cell_length_b 6.9200
_cell_length_c 6.9200
_cell_angle_alpha 90.00
_cell_angle_beta 90.00
_cell_angle_gamma 90.00
loop_
_symmetry_equiv_pos_as_xyz
'x,y,z'
loop_
_atom_site_label
_atom_site_type_symbol
_atom_site_fract_x
_atom_site_fract_y
_atom_site_fract_z
_atom_site_occupancy
Sr1 Sr 0.1620 0.3380 0.6620 1
Sr2 Sr 0.3380 0.6620 0.1620 1
Sr3 Sr 0.6620 0.1620 0.3380 1
Sr4 Sr 0.8380 0.8380 0.8380 1
Mg1 Mg 0.1517 0.1517 0.1517 1
Mg2 Mg 0.3483 0.8483 0.6517 1
Mg3 Mg 0.6517 0.3483 0.8483 1
Mg4 Mg 0.8483 0.6517 0.3483 1
Ni1 Ni 0.0595 0.9405 0.4405 1
Ni2 Ni 0.4405 0.0595 0.9405 1
Ni3 Ni 0.5595 0.5595 0.5595 1
Ni4 Ni 0.9405 0.4405 0.0595 1
H1 H 0.0444 0.4186 0.2646 1
H2 H 0.0741 0.5741 0.9259 1
H3 H 0.0814 0.7354 0.5444 1
H4 H 0.2354 0.9556 0.9186 1
H5 H 0.2646 0.0444 0.4186 1
H6 H 0.4186 0.2646 0.0444 1
H7 H 0.4259 0.4259 0.4259 1
H8 H 0.4556 0.5814 0.7646 1
H9 H 0.5444 0.0814 0.7354 1
H10 H 0.5741 0.9259 0.0741 1
H11 H 0.5814 0.7646 0.4556 1
H12 H 0.7354 0.5444 0.0814 1
H13 H 0.7646 0.4556 0.5814 1
H14 H 0.9186 0.2354 0.9556 1
H15 H 0.9259 0.0741 0.5741 1
H16 H 0.9556 0.9186 0.2354 1
```



No. 7
Computed X-ray powder pattern
Compound: Mg2H2O3
Radiation: a wavelength of 1.5418 Å
Structure: a crystal structure in the Materials Project, relaxed with PBE
Peak positions follow from Bragg's law for the DFT cell and can differ from measured ones.

Top 10 peaks for 2θ = 15–90°, by angle:
- 2θ 23.6, I = 15
- 2θ 33.4, I = 14
- 2θ 35.5, I = 6
- 2θ 41.3, I = 100
- 2θ 49.7, I = 12
- 2θ 59.7, I = 29
- 2θ 60.0, I = 26
- 2θ 71.8, I = 6
- 2θ 75.1, I = 12
- 2θ 89.7, I = 7

Cell and atoms:
```
data_Mg2H2O3
_chemical_formula_sum 'Mg2 H2 O3'
_symmetry_space_group_name_H-M 'P 1'
_symmetry_Int_Tables_number 1
_cell_length_a 3.0996
_cell_length_b 3.0996
_cell_length_c 7.5370
_cell_angle_alpha 90.00
_cell_angle_beta 90.00
_cell_angle_gamma 120.00
loop_
_symmetry_equiv_pos_as_xyz
'x,y,z'
loop_
_atom_site_label
_atom_site_type_symbol
_atom_site_fract_x
_atom_site_fract_y
_atom_site_fract_z
_atom_site_occupancy
Mg1 Mg 0.3333 0.6667 0.1629 1
Mg2 Mg 0.6667 0.3333 0.8371 1
H1 H 0.3333 0.6667 0.5688 1
H2 H 0.6667 0.3333 0.4312 1
O1 O 0.0000 0.0000 0.0000 1
O2 O 0.3333 0.6667 0.6973 1
O3 O 0.6667 0.3333 0.3027 1
```



No. 8
Computed X-ray powder pattern
Compound: Mg5H2O6
Radiation: a wavelength of 1.5418 Å
Structure: a crystal structure in the Materials Project, relaxed with PBE
Peak positions follow from Bragg's law for the DFT cell and can differ from measured ones.

Top 10 peaks for 2θ = 15–90°, by angle:
- 2θ 18.0, I = 6
- 2θ 24.0, I = 3
- 2θ 34.5, I = 5
- 2θ 36.1, I = 4
- 2θ 42.0, I = 100
- 2θ 46.1, I = 3
- 2θ 60.8, I = 29
- 2θ 61.1, I = 27
- 2θ 76.7, I = 13
- 2θ 77.3, I = 4

Cell and atoms:
```
data_Mg5H2O6
_chemical_formula_sum 'Mg5 H2 O6'
_symmetry_space_group_name_H-M 'P 1'
_symmetry_Int_Tables_number 1
_cell_length_a 3.0473
_cell_length_b 3.0473
_cell_length_c 14.8121
_cell_angle_alpha 90.00
_cell_angle_beta 90.00
_cell_angle_gamma 120.00
loop_
_symmetry_equiv_pos_as_xyz
'x,y,z'
loop_
_atom_site_label
_atom_site_type_symbol
_atom_site_fract_x
_atom_site_fract_y
_atom_site_fract_z
_atom_site_occupancy
Mg1 Mg 0.0000 0.0000 0.0000 1
Mg2 Mg 0.3333 0.6667 0.3312 1
Mg3 Mg 0.3333 0.6667 0.8346 1
Mg4 Mg 0.6667 0.3333 0.1654 1
Mg5 Mg 0.6667 0.3333 0.6688 1
H1 H 0.3333 0.6667 0.5312 1
H2 H 0.6667 0.3333 0.4688 1
O1 O 0.0000 0.0000 0.2482 1
O2 O 0.0000 0.0000 0.7518 1
O3 O 0.3333 0.6667 0.0827 1
O4 O 0.3333 0.6667 0.5966 1
O5 O 0.6667 0.3333 0.4034 1
O6 O 0.6667 0.3333 0.9173 1
```



No. 9
Computed X-ray powder pattern
Compound: Mg3H2O6
Radiation: a wavelength of 1.5418 Å
Structure: a crystal structure in the Materials Project, relaxed with PBE
Peak positions follow from Bragg's law for the DFT cell and can differ from measured ones.

Top 10 peaks for 2θ = 15–90°, by angle:
- 2θ 19.3, I = 100
- 2θ 29.7, I = 32
- 2θ 32.2, I = 10
- 2θ 36.6, I = 17
- 2θ 38.0, I = 30
- 2θ 44.4, I = 14
- 2θ 49.7, I = 10
- 2θ 53.4, I = 11
- 2θ 54.5, I = 14
- 2θ 58.7, I = 9

Cell and atoms:
```
data_Mg3H2O6
_chemical_formula_sum 'Mg3 H2 O6'
_symmetry_space_group_name_H-M 'P 1'
_symmetry_Int_Tables_number 1
_cell_length_a 5.4207
_cell_length_b 5.4207
_cell_length_c 8.1148
_cell_angle_alpha 97.00
_cell_angle_beta 97.00
_cell_angle_gamma 33.71
loop_
_symmetry_equiv_pos_as_xyz
'x,y,z'
loop_
_atom_site_label
_atom_site_type_symbol
_atom_site_fract_x
_atom_site_fract_y
_atom_site_fract_z
_atom_site_occupancy
Mg1 Mg 0.0000 0.0000 0.0000 1
Mg2 Mg 0.3406 0.3406 0.6333 1
Mg3 Mg 0.6594 0.6594 0.3667 1
H1 H 0.0800 0.0800 0.6020 1
H2 H 0.9200 0.9200 0.3980 1
O1 O 0.0042 0.0042 0.2325 1
O2 O 0.1464 0.1464 0.1845 1
O3 O 0.1508 0.1508 0.5321 1
O4 O 0.8492 0.8492 0.4679 1
O5 O 0.8536 0.8536 0.8155 1
O6 O 0.9958 0.9958 0.7675 1
```



No. 10
Computed X-ray powder pattern
Compound: Mg5H8O9
Radiation: a wavelength of 1.5418 Å
Structure: a crystal structure in the Materials Project, relaxed with PBE
Peak positions follow from Bragg's law for the DFT cell and can differ from measured ones.

Top 10 peaks for 2θ = 15–90°, by angle:
- 2θ 16.0, I = 75
- 2θ 20.0, I = 50
- 2θ 36.8, I = 57
- 2θ 38.8, I = 100
- 2θ 41.2, I = 26
- 2θ 43.9, I = 26
- 2θ 46.8, I = 23
- 2θ 50.0, I = 28
- 2θ 53.3, I = 19
- 2θ 58.8, I = 59

Cell and atoms:
```
data_Mg5H8O9
_chemical_formula_sum 'Mg5 H8 O9'
_symmetry_space_group_name_H-M 'P 1'
_symmetry_Int_Tables_number 1
_cell_length_a 3.1408
_cell_length_b 3.1408
_cell_length_c 22.1613
_cell_angle_alpha 90.00
_cell_angle_beta 90.00
_cell_angle_gamma 120.00
loop_
_symmetry_equiv_pos_as_xyz
'x,y,z'
loop_
_atom_site_label
_atom_site_type_symbol
_atom_site_fract_x
_atom_site_fract_y
_atom_site_fract_z
_atom_site_occupancy
Mg1 Mg 0.0000 0.0000 0.0000 1
Mg2 Mg 0.0000 0.0000 0.2209 1
Mg3 Mg 0.0000 0.0000 0.7791 1
Mg4 Mg 0.3333 0.6667 0.5553 1
Mg5 Mg 0.6667 0.3333 0.4447 1
H1 H 0.3333 0.6667 0.1294 1
H2 H 0.3333 0.6667 0.3537 1
H3 H 0.3333 0.6667 0.6878 1
H4 H 0.3333 0.6667 0.9085 1
H5 H 0.6667 0.3333 0.0915 1
H6 H 0.6667 0.3333 0.3122 1
H7 H 0.6667 0.3333 0.6463 1
H8 H 0.6667 0.3333 0.8706 1
O1 O 0.0000 0.0000 0.5000 1
O2 O 0.3333 0.6667 0.1732 1
O3 O 0.3333 0.6667 0.3975 1
O4 O 0.3333 0.6667 0.7315 1
O5 O 0.3333 0.6667 0.9523 1
O6 O 0.6667 0.3333 0.0477 1
O7 O 0.6667 0.3333 0.2685 1
O8 O 0.6667 0.3333 0.6025 1
O9 O 0.6667 0.3333 0.8268 1
```



No. 11
Computed X-ray powder pattern
Compound: Mg4H2O5
Radiation: a wavelength of 1.5418 Å
Structure: a crystal structure in the Materials Project, relaxed with PBE
Peak positions follow from Bragg's law for the DFT cell and can differ from measured ones.

Top 10 peaks for 2θ = 15–90°, by angle:
- 2θ 21.9, I = 7
- 2θ 34.7, I = 6
- 2θ 37.0, I = 6
- 2θ 40.7, I = 100
- 2θ 45.4, I = 30
- 2θ 50.9, I = 7
- 2θ 57.1, I = 12
- 2θ 60.5, I = 35
- 2θ 64.0, I = 23
- 2θ 75.5, I = 12

Cell and atoms:
```
data_Mg4H2O5
_chemical_formula_sum 'Mg4 H2 O5'
_symmetry_space_group_name_H-M 'P 1'
_symmetry_Int_Tables_number 1
_cell_length_a 3.0590
_cell_length_b 3.0590
_cell_length_c 12.1899
_cell_angle_alpha 90.00
_cell_angle_beta 90.00
_cell_angle_gamma 120.00
loop_
_symmetry_equiv_pos_as_xyz
'x,y,z'
loop_
_atom_site_label
_atom_site_type_symbol
_atom_site_fract_x
_atom_site_fract_y
_atom_site_fract_z
_atom_site_occupancy
Mg1 Mg 0.0000 0.0000 0.1985 1
Mg2 Mg 0.0000 0.0000 0.8015 1
Mg3 Mg 0.3333 0.6667 0.6002 1
Mg4 Mg 0.6667 0.3333 0.3998 1
H1 H 0.3333 0.6667 0.9685 1
H2 H 0.6667 0.3333 0.0315 1
O1 O 0.0000 0.0000 0.5000 1
O2 O 0.3333 0.6667 0.2994 1
O3 O 0.3333 0.6667 0.8890 1
O4 O 0.6667 0.3333 0.1110 1
O5 O 0.6667 0.3333 0.7006 1
```



Repeat the ninth record exactly.
Computed X-ray powder pattern
Compound: Mg3H2O6
Radiation: a wavelength of 1.5418 Å
Structure: a crystal structure in the Materials Project, relaxed with PBE
Peak positions follow from Bragg's law for the DFT cell and can differ from measured ones.

Top 10 peaks for 2θ = 15–90°, by angle:
- 2θ 19.3, I = 100
- 2θ 29.7, I = 32
- 2θ 32.2, I = 10
- 2θ 36.6, I = 17
- 2θ 38.0, I = 30
- 2θ 44.4, I = 14
- 2θ 49.7, I = 10
- 2θ 53.4, I = 11
- 2θ 54.5, I = 14
- 2θ 58.7, I = 9

Cell and atoms:
```
data_Mg3H2O6
_chemical_formula_sum 'Mg3 H2 O6'
_symmetry_space_group_name_H-M 'P 1'
_symmetry_Int_Tables_number 1
_cell_length_a 5.4207
_cell_length_b 5.4207
_cell_length_c 8.1148
_cell_angle_alpha 97.00
_cell_angle_beta 97.00
_cell_angle_gamma 33.71
loop_
_symmetry_equiv_pos_as_xyz
'x,y,z'
loop_
_atom_site_label
_atom_site_type_symbol
_atom_site_fract_x
_atom_site_fract_y
_atom_site_fract_z
_atom_site_occupancy
Mg1 Mg 0.0000 0.0000 0.0000 1
Mg2 Mg 0.3406 0.3406 0.6333 1
Mg3 Mg 0.6594 0.6594 0.3667 1
H1 H 0.0800 0.0800 0.6020 1
H2 H 0.9200 0.9200 0.3980 1
O1 O 0.0042 0.0042 0.2325 1
O2 O 0.1464 0.1464 0.1845 1
O3 O 0.1508 0.1508 0.5321 1
O4 O 0.8492 0.8492 0.4679 1
O5 O 0.8536 0.8536 0.8155 1
O6 O 0.9958 0.9958 0.7675 1
```



Copy entry 3 word for word.
Computed X-ray powder pattern
Compound: NdMgNi4H4
Radiation: a wavelength of 1.5418 Å
Structure: a crystal structure in the Materials Project, relaxed with PBE
Peak positions follow from Bragg's law for the DFT cell and can differ from measured ones.

Top 10 peaks for 2θ = 15–90°, by angle:
- 2θ 24.0, I = 41
- 2θ 24.3, I = 22
- 2θ 34.4, I = 45
- 2θ 39.4, I = 63
- 2θ 40.4, I = 42
- 2θ 41.0, I = 30
- 2θ 41.2, I = 100
- 2θ 43.5, I = 42
- 2θ 66.4, I = 24
- 2θ 72.5, I = 25

Cell and atoms:
```
data_NdMgNi4H4
_chemical_formula_sum 'Nd2 Mg2 Ni8 H8'
_symmetry_space_group_name_H-M 'P 1'
_symmetry_Int_Tables_number 1
_cell_length_a 5.0516
_cell_length_b 5.4700
_cell_length_c 7.3292
_cell_angle_alpha 90.00
_cell_angle_beta 90.00
_cell_angle_gamma 90.00
loop_
_symmetry_equiv_pos_as_xyz
'x,y,z'
loop_
_atom_site_label
_atom_site_type_symbol
_atom_site_fract_x
_atom_site_fract_y
_atom_site_fract_z
_atom_site_occupancy
Nd1 Nd 0.0000 0.2017 0.0000 1
Nd2 Nd 0.5000 0.7983 0.5000 1
Mg1 Mg 0.0000 0.6817 0.2218 1
Mg2 Mg 0.5000 0.3183 0.7218 1
Ni1 Ni 0.0000 0.0509 0.6204 1
Ni2 Ni 0.0000 0.5070 0.6025 1
Ni3 Ni 0.2440 0.2713 0.3775 1
Ni4 Ni 0.2560 0.7287 0.8775 1
Ni5 Ni 0.5000 0.4930 0.1025 1
Ni6 Ni 0.5000 0.9491 0.1204 1
Ni7 Ni 0.7440 0.7287 0.8775 1
Ni8 Ni 0.7560 0.2713 0.3775 1
H1 H 0.0000 0.5617 0.8226 1
H2 H 0.0000 0.7787 0.5099 1
H3 H 0.2484 0.0097 0.2562 1
H4 H 0.2516 0.9903 0.7562 1
H5 H 0.5000 0.2213 0.0099 1
H6 H 0.5000 0.4383 0.3226 1
H7 H 0.7484 0.9903 0.7562 1
H8 H 0.7516 0.0097 0.2562 1
```